Record 1
Diffraction record for DyInPt2. The powder diffractogram is calculated, not measured: it uses a cell relaxed with GGA-PBE and λ = 1.5418 Å (Cu Kα).

The 6 most intense peaks (10° ≤ 2θ ≤ 90°), by angle:
two_theta	I (rel.)
30.3	16
37.6	100
38.8	78
55.1	28
67.9	18
68.6	29

Structure:
```
data_DyInPt2
_cell_length_a 4.7845
_cell_length_b 4.7845
_cell_length_c 8.4109
_cell_angle_alpha 90.00
_cell_angle_beta 90.00
_cell_angle_gamma 120.00
_symmetry_space_group_name_H-M 'P 63/m m c'
_symmetry_Int_Tables_number 194
_symmetry_space_group_name_Hall '-P 6c 2c'
loop_
_atom_site_label
_atom_site_type_symbol
_atom_site_fract_x
_atom_site_fract_y
_atom_site_fract_z
Dy1 Dy 0.0000 0.0000 0.0000
In1 In 0.3333 0.6667 0.2500
Pt1 Pt 0.3333 0.6667 0.5905
```



Record 2
Diffraction record for TmSi2Ru2. The powder diffractogram is calculated, not measured: it uses a cell relaxed with GGA-PBE and λ = 1.5418 Å (Cu Kα).

The 6 most intense peaks (10° ≤ 2θ ≤ 90°), by angle:
two_theta	I (rel.)
23.3	35
35.6	33
35.8	100
43.4	40
59.0	17
74.7	23

Structure:
```
data_TmSi2Ru2
_cell_length_a 4.173
_cell_length_b 4.173
_cell_length_c 9.486
_cell_angle_alpha 90.00
_cell_angle_beta 90.00
_cell_angle_gamma 90.00
_symmetry_space_group_name_H-M 'I 4/m m m'
_symmetry_Int_Tables_number 139
_symmetry_space_group_name_Hall '-I 4 2'
loop_
_atom_site_label
_atom_site_type_symbol
_atom_site_fract_x
_atom_site_fract_y
_atom_site_fract_z
Tm1 Tm 0.000 0.000 0.000
Si1 Si 0.000 0.000 0.369
Ru1 Ru 0.000 0.500 0.250
```



Record 3
Diffraction record for Cs2NaPrI6. The powder diffractogram is calculated, not measured: it uses a cell relaxed with GGA-PBE and λ = 1.5418 Å (Cu Kα).

The 6 most intense peaks (10° ≤ 2θ ≤ 90°), by angle:
two_theta	I (rel.)
24.5	100
28.4	100
40.5	75
47.9	47
50.2	27
66.4	34

Structure:
```
data_Cs2NaPrI6
_cell_length_a 12.585
_cell_length_b 12.585
_cell_length_c 12.585
_cell_angle_alpha 90.00
_cell_angle_beta 90.00
_cell_angle_gamma 90.00
_symmetry_space_group_name_H-M 'F m -3 m'
_symmetry_Int_Tables_number 225
_symmetry_space_group_name_Hall '-F 4 2 3'
loop_
_atom_site_label
_atom_site_type_symbol
_atom_site_fract_x
_atom_site_fract_y
_atom_site_fract_z
Cs1 Cs 0.250 0.250 0.250
Na1 Na 0.000 0.000 0.000
Pr1 Pr 0.000 0.000 0.500
I1 I 0.000 0.000 0.251
```



Record 4
Diffraction record for Sm2B5. The powder diffractogram is calculated, not measured: it uses a cell relaxed with GGA-PBE and λ = 1.5418 Å (Cu Kα).

The 6 most intense peaks (10° ≤ 2θ ≤ 90°), by angle:
two_theta	I (rel.)
24.7	51
25.3	100
27.7	69
28.0	45
35.6	68
35.9	54

Structure:
```
data_Sm2B5
_cell_length_a 7.213
_cell_length_b 7.221
_cell_length_c 7.250
_cell_angle_alpha 90.00
_cell_angle_beta 102.06
_cell_angle_gamma 90.00
_symmetry_space_group_name_H-M 'P 1 21/c 1'
_symmetry_Int_Tables_number 14
loop_
_symmetry_equiv_pos_as_xyz
'x,y,z'
'-x,-y,-z'
'-x,y+1/2,-z+1/2'
'x,-y+1/2,z+1/2'
loop_
_atom_site_label
_atom_site_type_symbol
_atom_site_fract_x
_atom_site_fract_y
_atom_site_fract_z
Sm1 Sm 0.234 0.191 0.131
Sm2 Sm 0.241 0.684 0.257
B1 B 0.078 0.508 0.931
B2 B 0.316 0.502 0.962
B3 B 0.497 0.173 0.460
B4 B 0.497 0.538 0.827
B5 B 0.499 0.590 0.590
```



Record 5
Diffraction record for LaB2Ru3. The powder diffractogram is calculated, not measured: it uses a cell relaxed with GGA-PBE and λ = 1.5418 Å (Cu Kα).

The 6 most intense peaks (10° ≤ 2θ ≤ 90°), by angle:
two_theta	I (rel.)
34.9	66
37.0	100
44.0	41
58.8	29
66.7	19
73.6	26

Structure:
```
data_LaB2Ru3
_cell_length_a 5.6124
_cell_length_b 5.6124
_cell_length_c 3.0335
_cell_angle_alpha 90.00
_cell_angle_beta 90.00
_cell_angle_gamma 120.00
_symmetry_space_group_name_H-M 'P 6/m m m'
_symmetry_Int_Tables_number 191
_symmetry_space_group_name_Hall '-P 6 2'
loop_
_atom_site_label
_atom_site_type_symbol
_atom_site_fract_x
_atom_site_fract_y
_atom_site_fract_z
La1 La 0.0000 0.0000 0.0000
B1 B 0.3333 0.6667 0.0000
Ru1 Ru 0.0000 0.5000 0.5000
```



Record 6
Diffraction record for HfTc2Mo. The powder diffractogram is calculated, not measured: it uses a cell relaxed with GGA-PBE and λ = 1.5418 Å (Cu Kα).

The 6 most intense peaks (10° ≤ 2θ ≤ 90°), by angle:
two_theta	I (rel.)
24.2	6
40.0	100
47.3	4
57.8	17
72.6	34
86.3	11

Structure:
```
data_HfTc2Mo
_cell_length_a 6.379
_cell_length_b 6.379
_cell_length_c 6.379
_cell_angle_alpha 90.00
_cell_angle_beta 90.00
_cell_angle_gamma 90.00
_symmetry_space_group_name_H-M 'F m -3 m'
_symmetry_Int_Tables_number 225
_symmetry_space_group_name_Hall '-F 4 2 3'
loop_
_atom_site_label
_atom_site_type_symbol
_atom_site_fract_x
_atom_site_fract_y
_atom_site_fract_z
Hf1 Hf 0.000 0.000 0.000
Tc1 Tc 0.250 0.250 0.250
Mo1 Mo 0.000 0.000 0.500
```



Record 7
Diffraction record for CaNb2Te4Cl10O. The powder diffractogram is calculated, not measured: it uses a cell relaxed with GGA-PBE and λ = 1.5418 Å (Cu Kα).

The 6 most intense peaks (10° ≤ 2θ ≤ 90°), by angle:
two_theta	I (rel.)
14.1	40
15.6	100
20.0	36
21.9	45
25.0	38
29.9	40

Structure:
```
data_CaNb2Te4Cl10O
_cell_length_a 6.943
_cell_length_b 9.154
_cell_length_c 9.630
_cell_angle_alpha 96.66
_cell_angle_beta 93.55
_cell_angle_gamma 108.20
_symmetry_space_group_name_H-M 'P 1'
_symmetry_Int_Tables_number 1
loop_
_symmetry_equiv_pos_as_xyz
'x,y,z'
loop_
_atom_site_label
_atom_site_type_symbol
_atom_site_fract_x
_atom_site_fract_y
_atom_site_fract_z
Ca1 Ca 0.000 0.000 0.000
Nb1 Nb 0.615 0.580 0.028
Nb2 Nb 0.650 0.318 0.304
Te1 Te 0.076 0.151 0.675
Te2 Te 0.216 0.766 0.650
Te3 Te 0.389 0.060 0.803
Te4 Te 0.948 0.871 0.497
Cl1 Cl 0.270 0.457 0.929
Cl2 Cl 0.304 0.138 0.213
Cl3 Cl 0.507 0.450 0.463
Cl4 Cl 0.527 0.755 0.191
Cl5 Cl 0.646 0.799 0.860
Cl6 Cl 0.680 0.128 0.451
Cl7 Cl 0.728 0.449 0.840
Cl8 Cl 0.782 0.174 0.112
Cl9 Cl 0.983 0.734 0.099
Cl10 Cl 0.988 0.483 0.383
O1 O 0.625 0.445 0.156
```



Record 8
Diffraction record for ZnN. The powder diffractogram is calculated, not measured: it uses a cell relaxed with GGA-PBE and λ = 1.5418 Å (Cu Kα).

The 6 most intense peaks (10° ≤ 2θ ≤ 90°), by angle:
two_theta	I (rel.)
33.1	68
47.5	100
59.1	18
69.4	14
79.1	22
88.4	29

Structure:
```
data_ZnN
_cell_length_a 2.708
_cell_length_b 2.708
_cell_length_c 2.708
_cell_angle_alpha 90.00
_cell_angle_beta 90.00
_cell_angle_gamma 90.00
_symmetry_space_group_name_H-M 'P m -3 m'
_symmetry_Int_Tables_number 221
_symmetry_space_group_name_Hall '-P 4 2 3'
loop_
_atom_site_label
_atom_site_type_symbol
_atom_site_fract_x
_atom_site_fract_y
_atom_site_fract_z
Zn1 Zn 0.000 0.000 0.000
N1 N 0.500 0.500 0.500
```